Computed PXRD pattern
Compound: LiCd4Ge5HO15
Radiation: λ = 1.5418 Å (Cu Kα)
Structure: a cell relaxed with PBE
Intensities are scaled so that the largest is 100.

Structural model:
```
LiCd4Ge5HO15
1.0
7.055 0.000 0.000
-0.584 7.911 0.000
-0.648 -3.281 11.790
Li Cd Ge H O
2 8 10 2 30
Direct
0.171 0.363 0.402 Li
0.829 0.637 0.598 Li
0.224 0.758 0.979 Cd
0.315 0.966 0.263 Cd
0.365 0.180 0.558 Cd
0.443 0.401 0.850 Cd
0.557 0.599 0.150 Cd
0.635 0.820 0.442 Cd
0.685 0.034 0.737 Cd
0.776 0.242 0.021 Cd
0.071 0.527 0.174 Ge
0.143 0.723 0.443 Ge
0.201 0.987 0.775 Ge
0.279 0.181 0.042 Ge
0.396 0.642 0.649 Ge
0.604 0.358 0.351 Ge
0.721 0.819 0.958 Ge
0.799 0.013 0.225 Ge
0.857 0.277 0.557 Ge
0.929 0.473 0.826 Ge
0.025 0.090 0.394 H
0.975 0.910 0.606 H
0.012 0.010 0.306 O
0.064 0.205 0.495 O
0.072 0.543 0.322 O
0.103 0.295 0.124 O
0.135 0.066 0.915 O
0.149 0.469 0.895 O
0.231 0.585 0.526 O
0.247 0.678 0.151 O
0.272 0.772 0.764 O
0.318 0.887 0.437 O
0.350 0.010 0.094 O
0.378 0.117 0.732 O
0.401 0.240 0.379 O
0.450 0.449 0.679 O
0.465 0.326 0.024 O
0.535 0.674 0.976 O
0.550 0.551 0.321 O
0.599 0.760 0.621 O
0.622 0.883 0.268 O
0.650 0.990 0.906 O
0.682 0.113 0.563 O
0.728 0.228 0.236 O
0.753 0.322 0.849 O
0.769 0.415 0.474 O
0.851 0.531 0.105 O
0.865 0.934 0.085 O
0.897 0.705 0.876 O
0.928 0.457 0.678 O
0.936 0.795 0.505 O
0.988 0.990 0.694 O
```

Top 10 peaks for 10 to 90 degrees two-theta, by angle:
- 2θ 27.0, I = 71, (2 -1 0)
- 2θ 27.8, I = 43, (1 2 -2)
- 2θ 28.6, I = 55, (2 1 -1)
- 2θ 29.4, I = 92, (0 1 -4)
- 2θ 31.2, I = 100, (0 2 2)
- 2θ 34.5, I = 32, (0 3 -2)
- 2θ 35.1, I = 35, (2 1 2)
- 2θ 36.1, I = 31, (2 2 -2)
- 2θ 38.4, I = 43, (2 0 -4)
- 2θ 51.0, I = 29, (0 1 6)